# 1
Calculated XRD peak list
Compound: LiIn5Pd3
Radiation: copper Kα
Structure: a cell relaxed with PBE
Neutral-atom scattering factors, no anomalous dispersion.

Principal peaks in the range 5° ≤ 2θ ≤ 70°, sorted by position:
| two_theta | d/Å | intensity | index |
| --- | --- | --- | --- |
| 20.49 | 4.335 | 58 | 0 2 0 |
| 23.99 | 3.709 | 62 | 2 0 -2 |
| 30.05 | 2.974 | 100 | 2 2 1 |
| 33.27 | 2.693 | 56 | 1 3 -1 |
| 36.95 | 2.433 | 51 | 4 0 0 |
| 37.83 | 2.378 | 51 | 3 1 -3 |
| 38.26 | 2.352 | 69 | 1 3 2 |
| 41.66 | 2.168 | 55 | 0 4 0 |
| 41.85 | 2.159 | 51 | 3 3 0 |
| 44.28 | 2.046 | 77 | 4 0 2 |

Crystal structure
Cell: 9.850 8.670 9.676 Å, 90.00 98.92 90.00°
Space group C2/m (No. 12)
Unique sites:
Li 0.012 0.000 0.250 x4
In 0.000 0.307 0.000 x4
In 0.030 0.500 0.340 x4
In 0.190 0.198 0.638 x8
In 0.243 0.500 0.874 x4
Pd 0.000 0.000 0.000 x2
Pd 0.000 0.000 0.500 x2
Pd 0.204 0.500 0.145 x4
Pd 0.230 0.500 0.586 x4


# 2
Calculated XRD peak list
Compound: Y2AgSb
Radiation: copper Kα
Structure: a cell relaxed with PBE
Neutral-atom scattering factors, no anomalous dispersion.

Principal peaks in the range 5° ≤ 2θ ≤ 70°, sorted by position:
| two_theta | d/Å | intensity | index |
| --- | --- | --- | --- |
| 21.74 | 4.088 | 1 | 0 0 2 |
| 25.34 | 3.515 | 2 | 1 1 0 |
| 33.63 | 2.665 | 100 | 1 1 2 |
| 36.14 | 2.486 | 41 | 2 0 0 |
| 42.57 | 2.124 | 1 | 2 0 2 |
| 44.32 | 2.044 | 11 | 0 0 4 |
| 52.03 | 1.758 | 14 | 2 2 0 |
| 58.46 | 1.579 | 19 | 2 0 4 |
| 63.39 | 1.467 | 30 | 3 1 2 |

Crystal structure
Cell: 4.971 4.971 8.175 Å, 90.00 90.00 90.00°
Space group I4/mmm (No. 139)
Unique sites:
Y 0.000 0.500 0.250 x4
Ag 0.000 0.000 0.000 x2
Sb 0.000 0.000 0.500 x2


# 3
Calculated XRD peak list
Compound: Er3Sc2Tl2
Radiation: copper Kα
Structure: a cell relaxed with PBE
Neutral-atom scattering factors, no anomalous dispersion.

Principal peaks in the range 5° ≤ 2θ ≤ 70°, sorted by position:
| two_theta | d/Å | intensity | index |
| --- | --- | --- | --- |
| 19.94 | 4.452 | 14 | 1 0 1 |
| 21.02 | 4.227 | 22 | 0 1 2 |
| 33.41 | 2.682 | 99 | 1 0 7 |
| 34.24 | 2.619 | 100 | 1 1 0 |
| 41.60 | 2.171 | 8 | 1 1 6 |
| 48.59 | 1.874 | 35 | 0 2 7 |
| 49.53 | 1.840 | 12 | 1 1 9 |
| 59.17 | 1.561 | 15 | 0 1 14 |
| 60.78 | 1.524 | 36 | 2 1 7 |
| 61.31 | 1.512 | 19 | 3 0 0 |

Crystal structure
Cell: 5.2379 5.2379 23.2817 Å, 90.00 90.00 120.00°
Space group R-3m (No. 166, hexagonal axes)
Unique sites:
Er 0.0000 0.0000 0.0000 x3
Er 0.0000 0.0000 0.1533 x6
Sc 0.0000 0.0000 0.4286 x6
Tl 0.0000 0.0000 0.2837 x6


# 4
Calculated XRD peak list
Compound: Sm5TmTl5
Radiation: copper Kα
Structure: a cell relaxed with PBE
Neutral-atom scattering factors, no anomalous dispersion.

Principal peaks in the range 5° ≤ 2θ ≤ 70°, sorted by position:
| two_theta | d/Å | intensity | index |
| --- | --- | --- | --- |
| 29.93 | 2.985 | 55 | 6 0 -1 |
| 30.99 | 2.886 | 100 | 0 2 0 |
| 32.61 | 2.746 | 64 | 6 0 0 |
| 33.66 | 2.663 | 87 | 1 1 2 |
| 33.81 | 2.651 | 86 | 5 1 -2 |
| 45.60 | 1.989 | 51 | 6 2 0 |
| 51.19 | 1.785 | 22 | 4 0 -4 |
| 56.84 | 1.620 | 20 | 1 3 2 |
| 56.94 | 1.617 | 20 | 5 3 -2 |
| 61.05 | 1.518 | 26 | 4 2 -4 |

Crystal structure
Cell: 17.917 5.772 7.138 Å, 90.00 113.13 90.00°
Space group C2/m (No. 12)
Unique sites:
Sm 0.000 0.000 0.000 x2
Sm 0.137 0.500 0.141 x4
Sm 0.189 0.500 0.692 x4
Tm 0.000 0.000 0.500 x2
Tl 0.000 0.500 0.500 x2
Tl 0.161 0.000 0.434 x4
Tl 0.161 0.000 0.888 x4


# 5
Calculated XRD peak list
Compound: PaS3Cl
Radiation: copper Kα
Structure: a cell relaxed with PBE
Neutral-atom scattering factors, no anomalous dispersion.

Principal peaks in the range 5° ≤ 2θ ≤ 70°, sorted by position:
| two_theta | d/Å | intensity | index |
| --- | --- | --- | --- |
| 11.07 | 7.994 | 100 | 0 0 1 |
| 19.14 | 4.638 | 23 | 0 2 0 |
| 22.19 | 4.007 | 24 | 0 0 2 |
| 24.55 | 3.626 | 12 | 1 1 0 |
| 27.67 | 3.224 | 10 | 1 1 1 |
| 29.76 | 3.002 | 8 | 1 2 0 |
| 31.26 | 2.861 | 9 | 1 2 -1 |
| 32.25 | 2.776 | 13 | 1 1 -2 |
| 40.71 | 2.216 | 10 | 1 1 -3 |
| 49.66 | 1.836 | 9 | 0 2 4 |

Crystal structure
Cell: 3.948 9.276 8.013 Å, 90.00 94.01 90.00°
Space group P2_1/m (No. 11)
Unique sites:
Pa 0.149 0.250 0.475 x2
S 0.347 0.750 0.742 x2
S 0.348 0.549 0.400 x4
Cl 0.104 0.250 0.799 x2


# 6
Calculated XRD peak list
Compound: Nd4Ni3Bi8
Radiation: copper Kα
Structure: a cell relaxed with PBE
Neutral-atom scattering factors, no anomalous dispersion.

Principal peaks in the range 5° ≤ 2θ ≤ 70°, sorted by position:
| two_theta | d/Å | intensity | index |
| --- | --- | --- | --- |
| 26.79 | 3.328 | 25 | 1 0 4 |
| 27.68 | 3.223 | 33 | 0 0 6 |
| 29.03 | 3.076 | 73 | 1 1 2 |
| 33.26 | 2.694 | 100 | 1 1 4 |
| 33.99 | 2.637 | 28 | 1 0 6 |
| 39.27 | 2.294 | 63 | 2 0 0 |
| 46.87 | 1.938 | 22 | 1 1 8 |
| 48.72 | 1.869 | 30 | 2 0 6 |
| 56.75 | 1.622 | 22 | 2 2 0 |
| 67.39 | 1.390 | 26 | 3 1 4 |

Crystal structure
Cell: 4.588 4.588 19.339 Å, 90.00 90.00 90.00°
Space group P-4m2 (No. 115)
Unique sites:
Nd 0.000 0.500 0.113 x2
Nd 0.000 0.500 0.615 x2
Ni 0.000 0.000 0.000 x1
Ni 0.000 0.000 0.500 x1
Ni 0.500 0.500 0.500 x1
Bi 0.000 0.000 0.249 x2
Bi 0.000 0.500 0.428 x2
Bi 0.000 0.500 0.933 x2
Bi 0.500 0.500 0.249 x2


# 7
Calculated XRD peak list
Compound: K2Rh2F7
Radiation: copper Kα
Structure: a cell relaxed with PBE
Neutral-atom scattering factors, no anomalous dispersion.

Principal peaks in the range 5° ≤ 2θ ≤ 70°, sorted by position:
| two_theta | d/Å | intensity | index |
| --- | --- | --- | --- |
| 13.23 | 6.690 | 100 | 0 2 0 |
| 19.20 | 4.622 | 50 | 1 1 -1 |
| 26.41 | 3.375 | 44 | 2 0 -1 |
| 26.65 | 3.345 | 18 | 0 4 0 |
| 26.97 | 3.306 | 28 | 1 3 -1 |
| 35.97 | 2.497 | 61 | 1 1 1 |
| 40.45 | 2.230 | 25 | 0 6 0 |
| 43.31 | 2.089 | 19 | 3 1 -2 |
| 49.46 | 1.843 | 17 | 1 5 1 |
| 51.29 | 1.781 | 21 | 3 1 0 |

Crystal structure
Cell: 6.779 13.381 4.989 Å, 90.00 127.36 90.00°
Space group C2/m (No. 12)
Unique sites:
K 0.000 0.181 0.000 x4
Rh 0.188 0.500 0.295 x4
F 0.000 0.500 0.500 x2
F 0.076 0.000 0.817 x4
F 0.212 0.353 0.327 x8